(1)
Starting from a structure optimized by DFT (PBE), the XRD peak list of TbMn2Se4 was calculated for CuKα.

Principal peaks in the range 2θ from 5° to 70°, in order of rising 2θ:
(0 2 3), 2θ 25.38, intensity 27; (0 2 4), 2θ 31.60, intensity 50; (1 1 3), 2θ 32.15, intensity 34; (1 3 1), 2θ 32.27, intensity 100; (1 3 2), 2θ 34.57, intensity 66; (1 1 5), 2θ 43.24, intensity 31; (2 0 0), 2θ 46.96, intensity 30; (0 6 3), 2θ 48.49, intensity 29

Crystal structure
```
data_TbMn2Se4
_space_group_name_H-M_alt 'C m c m'
_space_group_IT_number 63
_space_group_name_Hall '-C 2c 2'
_cell_length_a 3.870
_cell_length_b 12.572
_cell_length_c 12.686
_cell_angle_alpha 90.00
_cell_angle_beta 90.00
_cell_angle_gamma 90.00
loop_
_atom_site_label
_atom_site_type_symbol
_atom_site_fract_x
_atom_site_fract_y
_atom_site_fract_z
_atom_site_occupancy
Tb1 Tb 0.000 0.115 0.250 1
Mn1 Mn 0.000 0.368 0.067 1
Se1 Se 0.000 0.000 0.000 1
Se2 Se 0.000 0.276 0.613 1
Se3 Se 0.000 0.447 0.250 1
```

***

(2)
Starting from a structure optimized by DFT (PBE), the XRD peak list of Ti2MnSe5 was calculated for CuKα.

Principal peaks in the range 2θ from 5° to 70°, in order of rising 2θ:
(0 2 0), 2θ 14.47, intensity 100; (1 1 3), 2θ 28.71, intensity 35; (1 3 1), 2θ 29.74, intensity 53; (1 3 3), 2θ 35.55, intensity 78; (2 0 0), 2θ 38.16, intensity 54; (0 4 4), 2θ 40.22, intensity 41; (0 0 6), 2θ 41.06, intensity 48; (2 0 6), 2θ 57.31, intensity 33

Crystal structure
```
data_Ti2MnSe5
_space_group_name_H-M_alt 'F m m m'
_space_group_IT_number 69
_space_group_name_Hall '-F 2 2'
_cell_length_a 4.716
_cell_length_b 12.239
_cell_length_c 13.184
_cell_angle_alpha 90.00
_cell_angle_beta 90.00
_cell_angle_gamma 90.00
loop_
_atom_site_label
_atom_site_type_symbol
_atom_site_fract_x
_atom_site_fract_y
_atom_site_fract_z
_atom_site_occupancy
Ti1 Ti 0.000 0.000 0.189 1
Mn1 Mn 0.000 0.000 0.500 1
Se1 Se 0.000 0.000 0.000 1
Se2 Se 0.000 0.129 0.344 1
```

***

(3)
Starting from a structure optimized by DFT (PBE), the XRD peak list of MnTlSe2 was calculated for CuKα.

Principal peaks in the range 2θ from 5° to 70°, in order of rising 2θ:
(0 1 -1), 2θ 20.20, intensity 64; (0 2 1), 2θ 27.21, intensity 39; (0 2 2), 2θ 29.27, intensity 49; (-1 1 1), 2θ 30.15, intensity 87; (0 0 3), 2θ 30.59, intensity 52; (1 -1 2), 2θ 34.85, intensity 100; (1 1 3), 2θ 35.16, intensity 41; (-1 1 4), 2θ 50.91, intensity 40

Crystal structure
```
data_MnTlSe2
_space_group_name_H-M_alt 'P -1'
_space_group_IT_number 2
_cell_length_a 3.607
_cell_length_b 6.556
_cell_length_c 9.475
_cell_angle_alpha 70.78
_cell_angle_beta 79.13
_cell_angle_gamma 89.96
loop_
_space_group_symop_operation_xyz
'x,y,z'
'-x,-y,-z'
loop_
_atom_site_label
_atom_site_type_symbol
_atom_site_fract_x
_atom_site_fract_y
_atom_site_fract_z
_atom_site_occupancy
Mn1 Mn 0.170 0.473 0.162 1
Tl1 Tl 0.092 0.880 0.320 1
Se1 Se 0.266 0.264 0.968 1
Se2 Se 0.420 0.711 0.655 1
```

***

(4)
Starting from a structure optimized by DFT (PBE), the XRD peak list of MnTlSe2 was calculated for CuKα.

Principal peaks in the range 2θ from 5° to 70°, in order of rising 2θ:
(0 0 2), 2θ 11.30, intensity 24; (0 0 4), 2θ 22.72, intensity 25; (1 0 1), 2θ 26.69, intensity 35; (0 1 3), 2θ 29.70, intensity 84; (1 0 3), 2θ 31.28, intensity 24; (1 1 2), 2θ 37.70, intensity 100; (1 0 5), 2θ 39.01, intensity 48; (1 1 8), 2θ 59.98, intensity 22

Crystal structure
```
data_MnTlSe2
_space_group_name_H-M_alt 'I m m 2'
_space_group_IT_number 44
_cell_length_a 3.419
_cell_length_b 3.682
_cell_length_c 15.654
_cell_angle_alpha 90.00
_cell_angle_beta 90.00
_cell_angle_gamma 90.00
loop_
_space_group_symop_operation_xyz
'x,y,z'
'-x,-y,z'
'-x,y,z'
'x,-y,z'
'x+1/2,y+1/2,z+1/2'
'-x+1/2,-y+1/2,z+1/2'
'-x+1/2,y+1/2,z+1/2'
'x+1/2,-y+1/2,z+1/2'
loop_
_atom_site_label
_atom_site_type_symbol
_atom_site_fract_x
_atom_site_fract_y
_atom_site_fract_z
_atom_site_occupancy
Mn1 Mn 0.000 0.000 0.000 1
Tl1 Tl 0.000 0.500 0.244 1
Se1 Se 0.000 0.000 0.432 1
Se2 Se 0.000 0.500 0.618 1
```